Diffraction record for LiCrPO4. The XRD peak list is theoretical, not measured: it uses a structure optimized by DFT (PBE+U) and Cu Kα (λ = 1.5418 Å).
No peak broadening, texture or thermal motion is included.

Peak list (8 most intense, 10° ≤ 2θ ≤ 80°, sorted by position)
- 2θ 21.6, rel. 100, (2 0 1)
- 2θ 30.5, rel. 10, (2 0 2)
- 2θ 31.8, rel. 7, (1 1 2)
- 2θ 35.5, rel. 10, (2 1 2)
- 2θ 36.0, rel. 36, (0 2 0)
- 2θ 41.6, rel. 10, (2 0 3)
- 2θ 42.4, rel. 16, (2 2 1)
- 2θ 63.5, rel. 6, (0 2 4)

Structural model:
```
LiCrPO4
1.0
9.9886 0.0000 0.0000
0.0000 4.9880 0.0000
0.0000 0.0000 7.2422
Li Cr P O
4 4 4 16
direct
0.1532 0.1977 0.0000
0.3468 0.6977 0.5000
0.6532 0.3023 0.0000
0.8468 0.8023 0.5000
0.1424 0.2141 0.4997
0.3576 0.7141 0.9997
0.6424 0.2859 0.4997
0.8576 0.7859 0.9997
0.0940 0.6899 0.2506
0.4060 0.1899 0.7506
0.5940 0.8101 0.2506
0.9060 0.3101 0.7506
0.0586 0.2439 0.7570
0.1202 0.3815 0.2404
0.1548 0.8193 0.0745
0.1567 0.7943 0.4329
0.3433 0.2943 0.9329
0.3452 0.3193 0.5745
0.3798 0.8815 0.7404
0.4414 0.7439 0.2570
0.5586 0.2561 0.7570
0.6202 0.1185 0.2404
0.6548 0.6807 0.0745
0.6567 0.7057 0.4329
0.8433 0.2057 0.9329
0.8452 0.1807 0.5745
0.8798 0.6185 0.7404
0.9414 0.7561 0.2570
```